No. 1
La7Ce2Pm2: simulated powder diffraction line list (λ = 1.5418 Å (Cu Kα)), based on a cell relaxed with GGA-PBE.
No peak broadening, texture or thermal motion is included.

Main lines, low angle first (2θ from 10° to 90°):
27.41°, I 19, (3 1 0)
28.28°, I 23, (1 1 2)
29.29°, I 20, (4 0 -2)
29.47°, I 100, (2 2 -1)
30.76°, I 62, (0 0 3)
32.17°, I 20, (2 2 -2)
32.47°, I 24, (4 0 0)
32.90°, I 38, (4 0 -3)
40.93°, I 20, (2 2 2)
46.72°, I 18, (1 3 2)

Cell and atoms:
```
data_La7Ce2Pm2
_cell_length_a 12.4229
_cell_length_b 6.9863
_cell_length_c 9.8232
_cell_angle_alpha 90.00
_cell_angle_beta 117.40
_cell_angle_gamma 90.00
_space_group_name_H-M_alt 'C 1 2/m 1'
_space_group_IT_number 12
loop_
_space_group_symop_operation_xyz
'x,y,z'
'-x,-y,-z'
'-x,y,-z'
'x,-y,z'
'x+1/2,y+1/2,z'
'-x+1/2,-y+1/2,-z'
'-x+1/2,y+1/2,-z'
'x+1/2,-y+1/2,z'
loop_
_atom_site_label
_atom_site_type_symbol
_atom_site_fract_x
_atom_site_fract_y
_atom_site_fract_z
La1 La 0.0000 0.0000 0.0000
La2 La 0.0314 0.5000 0.1845
La3 La 0.2105 0.2315 0.8104
Ce1 Ce 0.0000 0.3096 0.5000
Pm1 Pm 0.1966 0.0000 0.4343
```

---

No. 2
LaTaBi2: simulated powder diffraction line list (λ = 1.5418 Å (Cu Kα)), based on a cell relaxed with GGA-PBE.
No peak broadening, texture or thermal motion is included.

Main lines, low angle first (2θ from 10° to 90°):
20.50°, I 1, (1 1 1)
23.71°, I 2, (2 0 0)
33.78°, I 100, (2 2 0)
41.69°, I 1, (2 2 2)
48.53°, I 18, (4 0 0)
54.70°, I 1, (4 2 0)
60.44°, I 39, (4 2 2)
71.06°, I 12, (4 4 0)
76.11°, I 1, (6 0 0)
81.04°, I 17, (6 2 0)

Cell and atoms:
```
data_LaTaBi2
_cell_length_a 7.5042
_cell_length_b 7.5042
_cell_length_c 7.5042
_cell_angle_alpha 90.00
_cell_angle_beta 90.00
_cell_angle_gamma 90.00
_space_group_name_H-M_alt 'F m -3 m'
_space_group_IT_number 225
_space_group_name_Hall '-F 4 2 3'
loop_
_atom_site_label
_atom_site_type_symbol
_atom_site_fract_x
_atom_site_fract_y
_atom_site_fract_z
La1 La 0.0000 0.0000 0.0000
Ta1 Ta 0.0000 0.0000 0.5000
Bi1 Bi 0.2500 0.2500 0.2500
```

---

No. 3
Pr2NdHg4: simulated powder diffraction line list (λ = 1.5418 Å (Cu Kα)), based on a cell relaxed with GGA-PBE.
No peak broadening, texture or thermal motion is included.

Main lines, low angle first (2θ from 10° to 90°):
21.39°, I 21, (1 1 0)
26.18°, I 31, (1 0 3)
28.50°, I 18, (0 0 4)
30.43°, I 100, (2 0 0)
35.91°, I 72, (1 1 4)
40.57°, I 19, (2 1 3)
42.18°, I 26, (2 0 4)
43.58°, I 38, (2 2 0)
57.70°, I 37, (3 1 4)
67.81°, I 18, (2 0 8)

Cell and atoms:
```
data_Pr2NdHg4
_cell_length_a 5.8743
_cell_length_b 5.8743
_cell_length_c 12.5294
_cell_angle_alpha 90.00
_cell_angle_beta 90.00
_cell_angle_gamma 90.00
_space_group_name_H-M_alt 'I 4/m m m'
_space_group_IT_number 139
_space_group_name_Hall '-I 4 2'
loop_
_atom_site_label
_atom_site_type_symbol
_atom_site_fract_x
_atom_site_fract_y
_atom_site_fract_z
Pr1 Pr 0.0000 0.0000 0.1418
Nd1 Nd 0.0000 0.0000 0.5000
Hg1 Hg 0.0000 0.5000 0.0000
Hg2 Hg 0.0000 0.5000 0.2500
```